Starting from a PBE-relaxed structure, the powder X-ray diffraction pattern of Hf4PdAu was simulated for Cu Kα, 1.54184 Å.

Atomic structure:
```
Hf4PdAu
1.0
3.2670 0.0000 0.0000
0.0000 3.2670 0.0000
0.0000 0.0000 11.2817
Hf Pd Au
4 1 1
Cartesian
0.0000 0.0000 1.7330 Hf
0.0000 0.0000 9.5488 Hf
1.6335 1.6335 3.7538 Hf
1.6335 1.6335 7.5280 Hf
1.6335 1.6335 0.0000 Pd
0.0000 0.0000 5.6409 Au
```

Top 10 peaks for 10° ≤ 2θ ≤ 90°, low angle first:
(1 0 2), 31.66 deg, I 4
(1 0 3), 36.43 deg, I 100
(1 1 0), 38.99 deg, I 42
(0 0 6), 48.41 deg, I 11
(2 0 0), 56.32 deg, I 15
(1 1 6), 63.83 deg, I 19
(2 1 3), 68.95 deg, I 31
(2 0 6), 77.39 deg, I 11
(1 0 9), 82.40 deg, I 8
(2 2 0), 83.74 deg, I 5